# 1
For DyPb2F6, DFT lattice parameters and positions (PBE) gives the theoretical XRD peak list in this record (Cu Kα).

Largest 12 diffraction maxima, in order of falling intensity, 2θ from 10° to 80°:
(2 0 1), 2θ 20.27, I 100.0
(4 0 -1), 2θ 24.57, I 77.4
(1 1 0), 2θ 26.62, I 74.2
(1 1 -2), 2θ 35.37, I 65.3
(3 1 1), 2θ 36.80, I 52.3
(2 0 -2), 2θ 24.24, I 51.1
(3 1 -1), 2θ 32.39, I 47.9
(0 0 1), 2θ 12.39, I 43.8
(2 0 -4), 2θ 48.54, I 43.7
(5 1 -1), 2θ 40.31, I 37.5
(5 1 -3), 2θ 49.54, I 32.6
(0 0 2), 2θ 24.93, I 31.7

Cell and atoms:
Lattice parameters (Å, degrees): 14.7612 3.4487 7.5055 90.00 107.88 90.00
Space group C2/m (No. 12)
Asymmetric unit:
1 Dy 0.0000 0.0000 0.0000 x2
2 Pb 0.1486 0.0000 0.5912 x4
3 F 0.0202 0.0000 0.3015 x4
4 F 0.0922 0.5000 0.9927 x4
5 F 0.1875 0.5000 0.3725 x4

=====

# 2
For FeCuSi2, DFT lattice parameters and positions (PBE) gives the theoretical XRD peak list in this record (Cu Kα).

Largest 11 diffraction maxima, in order of falling intensity, 2θ from 10° to 80°:
(1 1 2), 2θ 43.69, I 100.0
(2 0 0), 2θ 49.31, I 34.3
(2 0 4), 2θ 76.09, I 17.6
(1 1 0), 2θ 34.31, I 15.0
(0 0 2), 2θ 26.22, I 14.7
(0 0 4), 2θ 53.95, I 12.9
(2 2 0), 2θ 72.31, I 10.2
(2 0 2), 2θ 56.70, I 6.3
(1 1 4), 2θ 65.52, I 3.8
(2 2 2), 2θ 78.40, I 2.0
(1 0 1), 2θ 27.47, I 1.0

Cell and atoms:
Lattice parameters (Å, degrees): 3.6960 3.6960 6.7981 90.00 90.00 90.00
Space group I4/mmm (No. 139)
Asymmetric unit:
1 Fe 0.0000 0.0000 0.0000 x2
2 Cu 0.0000 0.0000 0.5000 x2
3 Si 0.0000 0.5000 0.2500 x4

=====

# 3
For KCe4Cl12, DFT lattice parameters and positions (PBE) gives the theoretical XRD peak list in this record (Cu Kα).

Largest 12 diffraction maxima, in order of falling intensity, 2θ from 10° to 80°:
(0 2 0), 2θ 16.24, I 100.0
(2 2 0), 2θ 23.35, I 49.6
(2 0 0), 2θ 16.67, I 37.3
(0 4 0), 2θ 32.82, I 36.7
(2 4 2), 2θ 40.67, I 33.2
(2 4 0), 2θ 37.02, I 29.6
(4 2 2), 2θ 41.23, I 24.1
(4 2 0), 2θ 37.63, I 23.8
(0 4 2), 2θ 36.82, I 18.6
(0 2 2), 2θ 23.04, I 16.1
(4 2 4), 2θ 50.77, I 14.8
(2 4 4), 2θ 50.30, I 12.7

Cell and atoms:
Lattice parameters (Å, degrees): 10.6368 10.9160 10.9164 90.00 90.00 90.00
Space group Immm (No. 71)
Asymmetric unit:
1 K 0.0000 0.0000 0.0000 x2
2 Ce 0.2500 0.2500 0.2500 x8
3 Cl 0.0000 0.3061 0.3062 x8
4 Cl 0.1822 0.0000 0.2484 x8
5 Cl 0.1823 0.2470 0.0000 x8